Starting from a crystal structure in the Materials Project, relaxed with GGA-PBE, the powder X-ray diffraction pattern of RbSb4S7O was computed for a wavelength of 1.5418 Å.
Lines closer than 0.1° are merged.

The 10 most intense peaks (2θ from 10° to 90°), sorted by position:
(hkl), two_theta, I/Imax
1 0 0, 15.2, 52
1 5 0, 22.5, 100
0 1 2, 23.2, 87
2 0 -2, 24.0, 74
1 5 -2, 24.4, 52
1 6 -2, 26.8, 100
1 3 -3, 29.4, 75
2 1 0, 30.8, 78
1 8 -2, 32.2, 52
3 5 -2, 40.1, 48

Cell and atoms:
```
data_RbSb4S7O
_space_group_name_H-M_alt 'P 1 21/c 1'
_space_group_IT_number 14
_cell_length_a 7.5205
_cell_length_b 26.8238
_cell_length_c 9.9949
_cell_angle_alpha 90.00
_cell_angle_beta 129.08
_cell_angle_gamma 90.00
loop_
_space_group_symop_operation_xyz
'x,y,z'
'-x,-y,-z'
'-x,y+1/2,-z+1/2'
'x,-y+1/2,z+1/2'
loop_
_atom_site_label
_atom_site_fract_x
_atom_site_fract_y
_atom_site_fract_z
_atom_site_occupancy
Rb1 0.1892 0.0670 0.1510 1
Sb1 0.0340 0.6161 0.9678 1
Sb2 0.1611 0.2433 0.1171 1
Sb3 0.3030 0.6788 0.4027 1
Sb4 0.3081 0.6771 0.7965 1
S1 0.1226 0.1784 0.9181 1
S2 0.1274 0.0202 0.6352 1
S3 0.1271 0.1813 0.2892 1
S4 0.2383 0.7313 0.0706 1
S5 0.2871 0.5964 0.2748 1
S6 0.3064 0.5952 0.9205 1
S7 0.3770 0.6222 0.6326 1
O1 0.0614 0.0070 0.7465 1
```